Diffraction record for Li9Co7O16. The X-ray diffraction stick pattern is computed, not measured: it uses a crystal structure in Alexandria, relaxed with GGA+U and Cu Kα (weighted mean of Kα1 and Kα2).

Structure:
Lattice parameters (Å, degrees): 4.960 7.599 7.609 97.01 102.62 102.84
Sites, in units of the cell vectors:
Li 0.000 0.000 0.000
Li 0.000 0.265 0.757
Li 0.490 0.876 0.123
Li 0.496 0.635 0.383
Li 0.500 0.131 0.876
Li 0.515 0.391 0.638
Li 0.996 0.755 0.247
Li 0.998 0.636 0.879
Li 0.999 0.512 0.516
Co 0.000 0.133 0.382
Co 0.000 0.880 0.631
Co 0.498 0.508 0.004
Co 0.499 0.755 0.758
Co 0.502 0.007 0.506
Co 0.503 0.258 0.257
Co 0.999 0.387 0.125
O 0.229 0.370 0.360
O 0.240 0.114 0.610
O 0.244 0.608 0.126
O 0.247 0.275 0.013
O 0.258 0.773 0.522
O 0.260 0.878 0.858
O 0.277 0.020 0.268
O 0.282 0.523 0.766
O 0.721 0.748 0.992
O 0.736 0.247 0.503
O 0.739 0.490 0.238
O 0.740 0.988 0.739
O 0.741 0.654 0.636
O 0.751 0.386 0.906
O 0.760 0.897 0.398
O 0.772 0.150 0.146

Principal peaks in the range 10° ≤ 2θ ≤ 90°, sorted by position:
| hkl | 2θ/deg | intensity |
| --- | --- | --- |
| 0 1 0 | 12.13 | 74 |
| 0 1 1 | 18.68 | 1000 |
| -2 1 1 | 36.75 | 136 |
| 1 -2 2 | 36.95 | 250 |
| 2 0 0 | 38.53 | 114 |
| -2 2 2 | 44.40 | 254 |
| 1 -1 3 | 44.62 | 249 |
| 1 3 -1 | 44.77 | 247 |
| 1 0 -4 | 48.74 | 117 |
| -1 5 1 | 64.45 | 68 |